No. 1
For Pr12Mn5C15, a structure optimized by DFT (PBE) gives the calculated powder XRD pattern in this record (Cu Kα X-rays).
Peak positions follow from Bragg's law for the DFT cell and can differ from measured ones.

Structural model:
```
data_Pr12Mn5C15
_cell_length_a 10.839
_cell_length_b 10.839
_cell_length_c 5.367
_cell_angle_alpha 90.00
_cell_angle_beta 90.00
_cell_angle_gamma 120.00
_space_group_name_H-M_alt 'P 1'
_space_group_IT_number 1
_space_group_name_Hall 'P 1'
loop_
_atom_site_label
_atom_site_fract_x
_atom_site_fract_y
_atom_site_fract_z
Pr1 0.000 0.423 0.000
Pr2 0.000 0.793 0.000
Pr3 0.186 0.728 0.500
Pr4 0.207 0.207 0.000
Pr5 0.272 0.458 0.500
Pr6 0.423 0.000 0.000
Pr7 0.458 0.272 0.500
Pr8 0.542 0.814 0.500
Pr9 0.577 0.577 0.000
Pr10 0.728 0.186 0.500
Pr11 0.793 0.000 0.000
Pr12 0.814 0.542 0.500
Mn1 0.000 0.154 0.500
Mn2 0.154 0.000 0.500
Mn3 0.333 0.667 0.000
Mn4 0.667 0.333 0.000
Mn5 0.846 0.846 0.500
C1 0.000 0.320 0.500
C2 0.000 0.445 0.500
C3 0.000 0.810 0.500
C4 0.190 0.190 0.500
C5 0.195 0.711 0.000
C6 0.289 0.484 0.000
C7 0.320 0.000 0.500
C8 0.445 0.000 0.500
C9 0.484 0.289 0.000
C10 0.516 0.805 0.000
C11 0.555 0.555 0.500
C12 0.680 0.680 0.500
C13 0.711 0.195 0.000
C14 0.805 0.516 0.000
C15 0.810 0.000 0.500
```

Peak list (12 most intense, 10° ≤ 2θ ≤ 90°, most intense first)
2θ (°), Rel. int.
30.2, 100
33.4, 35
34.4, 28
33.1, 28
48.7, 21
57.7, 16
47.7, 11
38.4, 10
25.2, 9
57.3, 9
25.1, 8
51.6, 7

=====

No. 2
For OsN2, a structure optimized by DFT (PBE) gives the calculated powder XRD pattern in this record (Cu Kα X-rays).
Peak positions follow from Bragg's law for the DFT cell and can differ from measured ones.

Structural model:
```
data_OsN2
_cell_length_a 4.426
_cell_length_b 4.426
_cell_length_c 2.669
_cell_angle_alpha 90.00
_cell_angle_beta 90.00
_cell_angle_gamma 90.00
_space_group_name_H-M_alt 'P 1'
_space_group_IT_number 1
_space_group_name_Hall 'P 1'
loop_
_atom_site_label
_atom_site_fract_x
_atom_site_fract_y
_atom_site_fract_z
Os1 0.000 0.000 0.000
Os2 0.500 0.500 0.000
N1 0.112 0.388 0.500
N2 0.388 0.888 0.500
N3 0.612 0.112 0.500
N4 0.888 0.612 0.500
```

Peak list (12 most intense, 10° ≤ 2θ ≤ 90°, most intense first)
2θ (°), Rel. int.
28.5, 100
44.6, 84
40.8, 49
53.8, 41
33.6, 29
76.9, 28
66.8, 24
69.6, 20
59.0, 16
77.8, 13
84.8, 12
70.6, 6

=====

No. 3
For Tm2CoIr, a structure optimized by DFT (PBE) gives the calculated powder XRD pattern in this record (Cu Kα X-rays).
Peak positions follow from Bragg's law for the DFT cell and can differ from measured ones.

Structural model:
```
data_Tm2CoIr
_cell_length_a 4.739
_cell_length_b 4.739
_cell_length_c 4.739
_cell_angle_alpha 60.00
_cell_angle_beta 60.00
_cell_angle_gamma 60.00
_space_group_name_H-M_alt 'P 1'
_space_group_IT_number 1
_space_group_name_Hall 'P 1'
loop_
_atom_site_label
_atom_site_fract_x
_atom_site_fract_y
_atom_site_fract_z
Tm1 0.250 0.250 0.250
Tm2 0.750 0.750 0.750
Co1 0.000 0.000 0.000
Ir1 0.500 0.500 0.500
```

Peak list (12 most intense, 10° ≤ 2θ ≤ 90°, most intense first)
2θ (°), Rel. int.
38.0, 100
68.6, 35
54.8, 17
81.2, 11
23.0, 11
44.9, 6
60.2, 3
26.6, 3
85.8, 2
73.4, 2
61.9, 1
47.0, 1

=====

No. 4
For NaCaAlF6, a structure optimized by DFT (PBE) gives the calculated powder XRD pattern in this record (Cu Kα X-rays).
Peak positions follow from Bragg's law for the DFT cell and can differ from measured ones.

Structural model:
```
data_NaCaAlF6
_cell_length_a 9.071
_cell_length_b 9.071
_cell_length_c 5.117
_cell_angle_alpha 90.00
_cell_angle_beta 90.00
_cell_angle_gamma 120.00
_space_group_name_H-M_alt 'P 1'
_space_group_IT_number 1
_space_group_name_Hall 'P 1'
loop_
_atom_site_label
_atom_site_fract_x
_atom_site_fract_y
_atom_site_fract_z
Na1 0.000 0.712 0.000
Na2 0.288 0.288 0.000
Na3 0.712 0.000 0.000
Ca1 0.000 0.370 0.500
Ca2 0.370 0.000 0.500
Ca3 0.630 0.630 0.500
Al1 0.000 0.000 0.500
Al2 0.333 0.667 0.998
Al3 0.667 0.333 0.002
F1 0.085 0.193 0.700
F2 0.109 0.915 0.700
F3 0.144 0.588 0.789
F4 0.193 0.085 0.300
F5 0.223 0.476 0.205
F6 0.254 0.777 0.205
F7 0.412 0.555 0.789
F8 0.445 0.856 0.789
F9 0.476 0.223 0.795
F10 0.524 0.746 0.205
F11 0.555 0.412 0.211
F12 0.588 0.144 0.211
F13 0.746 0.524 0.795
F14 0.777 0.254 0.795
F15 0.807 0.891 0.700
F16 0.856 0.445 0.211
F17 0.891 0.807 0.300
F18 0.915 0.109 0.300
```

Peak list (12 most intense, 10° ≤ 2θ ≤ 90°, most intense first)
2θ (°), Rel. int.
26.3, 100
38.6, 76
49.8, 69
28.7, 32
20.7, 32
54.0, 21
61.3, 20
19.6, 20
56.6, 20
43.7, 13
46.9, 11
34.9, 9

=====

No. 5
For AlPO4, a structure optimized by DFT (PBE) gives the calculated powder XRD pattern in this record (Cu Kα X-rays).
Peak positions follow from Bragg's law for the DFT cell and can differ from measured ones.

Structural model:
```
data_AlPO4
_cell_length_a 11.021
_cell_length_b 4.947
_cell_length_c 8.889
_cell_angle_alpha 90.00
_cell_angle_beta 90.17
_cell_angle_gamma 90.00
_space_group_name_H-M_alt 'P 1'
_space_group_IT_number 1
_space_group_name_Hall 'P 1'
loop_
_atom_site_label
_atom_site_fract_x
_atom_site_fract_y
_atom_site_fract_z
Al1 0.000 0.035 0.250
Al2 0.000 0.965 0.750
Al3 0.334 0.250 0.987
Al4 0.334 0.750 0.487
Al5 0.666 0.250 0.513
Al6 0.666 0.750 0.013
P1 0.167 0.255 0.513
P2 0.167 0.745 0.013
P3 0.500 0.467 0.250
P4 0.500 0.533 0.750
P5 0.833 0.255 0.987
P6 0.833 0.745 0.487
O1 0.072 0.233 0.386
O2 0.072 0.767 0.886
O3 0.111 0.166 0.664
O4 0.111 0.834 0.164
O5 0.206 0.448 0.028
O6 0.206 0.552 0.528
O7 0.280 0.083 0.476
O8 0.280 0.917 0.976
O9 0.400 0.351 0.817
O10 0.400 0.649 0.317
O11 0.444 0.284 0.128
O12 0.444 0.716 0.628
O13 0.556 0.284 0.372
O14 0.556 0.716 0.872
O15 0.600 0.351 0.683
O16 0.600 0.649 0.183
O17 0.720 0.083 0.024
O18 0.720 0.917 0.524
O19 0.794 0.448 0.472
O20 0.794 0.552 0.972
O21 0.889 0.166 0.836
O22 0.889 0.834 0.336
O23 0.928 0.233 0.114
O24 0.928 0.767 0.614
```

Peak list (12 most intense, 10° ≤ 2θ ≤ 90°, most intense first)
2θ (°), Rel. int.
26.2, 100
25.8, 76
19.7, 30
28.2, 27
20.0, 16
30.3, 11
66.9, 10
49.5, 8
59.4, 8
41.8, 7
38.7, 7
48.8, 7

=====

No. 6
For CoNi2S4, a structure optimized by DFT (PBE) gives the calculated powder XRD pattern in this record (Cu Kα X-rays).
Peak positions follow from Bragg's law for the DFT cell and can differ from measured ones.

Structural model:
```
data_CoNi2S4
_cell_length_a 6.638
_cell_length_b 6.638
_cell_length_c 6.638
_cell_angle_alpha 60.00
_cell_angle_beta 60.00
_cell_angle_gamma 60.00
_space_group_name_H-M_alt 'P 1'
_space_group_IT_number 1
_space_group_name_Hall 'P 1'
loop_
_atom_site_label
_atom_site_fract_x
_atom_site_fract_y
_atom_site_fract_z
Co1 0.125 0.125 0.125
Co2 0.875 0.875 0.875
Ni1 0.000 0.500 0.500
Ni2 0.500 0.000 0.500
Ni3 0.500 0.500 0.000
Ni4 0.500 0.500 0.500
S1 0.256 0.256 0.256
S2 0.256 0.256 0.732
S3 0.256 0.732 0.256
S4 0.268 0.744 0.744
S5 0.732 0.256 0.256
S6 0.744 0.268 0.744
S7 0.744 0.744 0.268
S8 0.744 0.744 0.744
```

Peak list (12 most intense, 10° ≤ 2θ ≤ 90°, most intense first)
2θ (°), Rel. int.
31.6, 100
55.4, 82
38.4, 49
50.5, 40
26.9, 27
78.2, 17
16.4, 13
82.1, 12
65.2, 11
47.4, 10
69.4, 10
75.8, 5

=====

No. 7
For NdSi2Rh2, a structure optimized by DFT (PBE) gives the calculated powder XRD pattern in this record (Cu Kα X-rays).
Peak positions follow from Bragg's law for the DFT cell and can differ from measured ones.

Structural model:
```
data_NdSi2Rh2
_cell_length_a 5.867
_cell_length_b 5.867
_cell_length_c 5.867
_cell_angle_alpha 138.96
_cell_angle_beta 138.96
_cell_angle_gamma 59.43
_space_group_name_H-M_alt 'P 1'
_space_group_IT_number 1
_space_group_name_Hall 'P 1'
loop_
_atom_site_label
_atom_site_fract_x
_atom_site_fract_y
_atom_site_fract_z
Nd1 0.000 0.000 0.000
Si1 0.376 0.376 0.000
Si2 0.624 0.624 0.000
Rh1 0.250 0.750 0.500
Rh2 0.750 0.250 0.500
```

Peak list (12 most intense, 10° ≤ 2θ ≤ 90°, most intense first)
2θ (°), Rel. int.
35.5, 100
44.0, 36
34.2, 30
23.3, 24
75.4, 22
35.2, 18
63.4, 18
57.6, 17
56.9, 14
64.0, 12
49.9, 10
68.7, 8